(1)
# Nd10US16
Theoretical powder diffraction line list, Cu Kα, 1.54184 Å. Input: a cell relaxed with PBE.
Kinematic intensities with the Lorentz-polarization factor, no thermal factor.

Peak list (8 most intense, 2θ = 5–70°, sorted by position)
| 2θ/deg | intensity |
| --- | --- |
| 25.49 | 100.0 |
| 33.05 | 66.1 |
| 33.17 | 30.3 |
| 39.38 | 59.3 |
| 47.45 | 26.2 |
| 49.97 | 25.2 |
| 54.62 | 20.7 |
| 67.37 | 23.7 |

Structure:
abc: 8.5722 8.5722 8.5374
angles: 90.00 90.00 90.00
Fractional positions:
1 Nd 0.0000 0.5000 0.2468
2 Nd 0.1237 0.7567 0.8578
3 Nd 0.2433 0.1237 0.1422
4 Nd 0.2441 0.3666 0.6207
5 Nd 0.3666 0.7559 0.3793
6 Nd 0.5000 0.0000 0.7532
7 Nd 0.6334 0.2441 0.3793
8 Nd 0.7559 0.6334 0.6207
9 Nd 0.7567 0.8763 0.1422
10 Nd 0.8763 0.2433 0.8578
11 U 0.5000 0.5000 0.0000
12 S 0.0785 0.6684 0.5418
13 S 0.0784 0.8163 0.1821
14 S 0.1811 0.4336 0.9462
15 S 0.1837 0.0784 0.8179
16 S 0.3269 0.4266 0.2974
17 S 0.3316 0.0785 0.4582
18 S 0.4266 0.6731 0.7026
19 S 0.4336 0.8189 0.0538
20 S 0.5664 0.1811 0.0538
21 S 0.5734 0.3269 0.7026
22 S 0.6684 0.9215 0.4582
23 S 0.6731 0.5734 0.2974
24 S 0.8163 0.9216 0.8179
25 S 0.8189 0.5664 0.9462
26 S 0.9216 0.1837 0.1821
27 S 0.9215 0.3316 0.5418

***

(2)
# NdY3S6
Theoretical powder diffraction line list, Cu Kα, 1.54184 Å. Input: a cell relaxed with PBE.
Kinematic intensities with the Lorentz-polarization factor, no thermal factor.

Peak list (8 most intense, 2θ = 5–70°, sorted by position)
| 2θ/deg | intensity |
| --- | --- |
| 23.53 | 74.4 |
| 23.74 | 39.5 |
| 23.99 | 86.4 |
| 30.81 | 100.0 |
| 33.99 | 73.2 |
| 42.03 | 80.9 |
| 43.72 | 45.7 |
| 45.35 | 59.1 |

Structure:
abc: 11.1265 3.9996 11.3461
angles: 90.00 108.88 90.00
Fractional positions:
1 Nd 0.0484 0.2500 0.1934
2 Nd 0.9516 0.7500 0.8066
3 Y 0.1608 0.2500 0.5859
4 Y 0.3196 0.7500 0.9988
5 Y 0.4398 0.2500 0.3330
6 Y 0.5602 0.7500 0.6670
7 Y 0.6804 0.2500 0.0012
8 Y 0.8392 0.7500 0.4141
9 S 0.0811 0.7500 0.4040
10 S 0.1163 0.2500 0.9632
11 S 0.1938 0.7500 0.7489
12 S 0.2638 0.7500 0.2282
13 S 0.3947 0.2500 0.5595
14 S 0.4784 0.2500 0.1120
15 S 0.5216 0.7500 0.8880
16 S 0.6053 0.7500 0.4405
17 S 0.7362 0.2500 0.7718
18 S 0.8062 0.2500 0.2511
19 S 0.8837 0.7500 0.0368
20 S 0.9189 0.2500 0.5960

***

(3)
# Nd5Sb3
Theoretical powder diffraction line list, Cu Kα, 1.54184 Å. Input: a cell relaxed with PBE.
Kinematic intensities with the Lorentz-polarization factor, no thermal factor.

Peak list (8 most intense, 2θ = 5–70°, sorted by position)
| 2θ/deg | intensity |
| --- | --- |
| 27.53 | 17.5 |
| 29.16 | 31.1 |
| 29.70 | 16.9 |
| 32.34 | 100.0 |
| 33.17 | 58.3 |
| 33.65 | 86.4 |
| 47.98 | 23.1 |
| 51.78 | 34.4 |

Structure:
abc: 9.3548 9.3548 6.4792
angles: 90.00 90.00 120.00
Fractional positions:
1 Nd 0.0000 0.2505 0.2500
2 Nd 0.0000 0.7495 0.7500
3 Nd 0.2505 0.0000 0.2500
4 Nd 0.2505 0.2505 0.7500
5 Nd 0.3333 0.6667 0.0000
6 Nd 0.3333 0.6667 0.5000
7 Nd 0.6667 0.3333 0.0000
8 Nd 0.6667 0.3333 0.5000
9 Nd 0.7495 0.0000 0.7500
10 Nd 0.7495 0.7495 0.2500
11 Sb 0.0000 0.3876 0.7500
12 Sb 0.0000 0.6124 0.2500
13 Sb 0.3876 0.0000 0.7500
14 Sb 0.3876 0.3876 0.2500
15 Sb 0.6124 0.0000 0.2500
16 Sb 0.6124 0.6124 0.7500

***

(4)
# Nd2Sb
Theoretical powder diffraction line list, Cu Kα, 1.54184 Å. Input: a cell relaxed with PBE.
Kinematic intensities with the Lorentz-polarization factor, no thermal factor.

Peak list (8 most intense, 2θ = 5–70°, sorted by position)
| 2θ/deg | intensity |
| --- | --- |
| 29.33 | 100.0 |
| 30.17 | 39.3 |
| 31.86 | 30.6 |
| 34.24 | 85.2 |
| 39.32 | 58.5 |
| 50.34 | 42.1 |
| 65.67 | 20.8 |
| 68.04 | 22.8 |

Structure:
abc: 9.4599 9.4599 9.4599
angles: 151.96 151.96 40.07
Fractional positions:
1 Nd 0.0000 0.5000 0.5000
2 Nd 0.1790 0.1790 0.0000
3 Nd 0.5000 0.0000 0.5000
4 Nd 0.8210 0.8210 0.0000
5 Sb 0.3616 0.3616 0.0000
6 Sb 0.6384 0.6384 0.0000